Cu7Hg6: computed powder diffractogram (Cu Kα, 1.54184 Å), based on a GGA-PBE-relaxed structure.
Intensities are scaled so that the largest is 100.

Crystal structure
```
26
Lattice="5.3901 3.1120 5.9139 -5.3901 3.1120 5.9139 0.0000 -6.2240 5.9139" Properties=species:S:1:pos:R:3 pbc="T T T"
Cu 0.0000 0.0000 0.0000
Cu -3.3006 -1.9056 8.2789
Cu -2.0836 -1.2029 13.3711
Cu 0.0000 -1.5364 11.7944
Cu -1.3306 0.7682 11.7944
Cu 3.3006 -1.9056 8.2789
Cu 0.0000 3.8113 8.2789
Cu -1.3114 -0.7572 15.7850
Cu 0.0000 0.0000 13.7489
Cu 1.3306 0.7682 11.7944
Cu 2.0836 -1.2029 13.3711
Cu 0.0000 2.4059 13.3711
Cu 1.3114 -0.7572 15.7850
Cu 0.0000 1.5143 15.7850
Hg 0.0000 -3.5877 6.5187
Hg -3.1070 1.7938 6.5187
Hg -1.3665 -3.6688 9.2695
Hg -3.8605 0.6510 9.2695
Hg -2.5895 -1.4951 10.8611
Hg 1.3665 -3.6688 9.2695
Hg -2.4940 3.0178 9.2695
Hg 3.1070 1.7938 6.5187
Hg 2.5895 -1.4951 10.8611
Hg 0.0000 2.9901 10.8611
Hg 3.8605 0.6510 9.2695
Hg 2.4940 3.0178 9.2695
```

Main lines, in order of falling intensity (2θ from 10° to 90°):
Position (°2θ)	d (Å)	I (rel.)
10.7	8.262	100
39.9	2.257	71
36.7	2.450	64
40.5	2.227	63
16.4	5.390	60
38.9	2.314	58
32.5	2.755	58
31.7	2.825	55

Cu2HgI4: computed powder diffractogram (Cu Kα, 1.54184 Å), based on a GGA-PBE-relaxed structure.
Intensities are scaled so that the largest is 100.

Crystal structure
```
7
Lattice="6.1349 0.0000 0.0000 0.0000 6.1024 0.0000 -0.0834 0.0000 6.4170" Properties=species:S:1:pos:R:3 pbc="T T T"
Cu 0.0000 0.0000 0.0000
Cu 3.0674 3.0240 0.0000
Hg -0.0417 2.9911 3.2085
I 1.5515 4.6673 4.9334
I 1.6430 1.4021 1.5034
I 4.4085 1.4021 4.9136
I 4.5000 4.6673 1.4836
```

Main lines, in order of falling intensity (2θ from 10° to 90°):
Position (°2θ)	d (Å)	I (rel.)
24.9	3.572	100
24.7	3.603	97
40.8	2.211	49
41.8	2.163	46
49.2	1.850	29
20.1	4.417	28
40.4	2.232	25
41.0	2.203	24

CuHgI4: computed powder diffractogram (Cu Kα, 1.54184 Å), based on a GGA-PBE-relaxed structure.
Intensities are scaled so that the largest is 100.

Crystal structure
```
6
Lattice="4.2626 0.0000 0.0000 0.0000 4.2626 0.0000 0.0000 0.0000 13.1281" Properties=species:S:1:pos:R:3 pbc="T T T"
Cu 0.0000 0.0000 0.0000
Hg 2.1313 2.1313 6.5641
I 0.0000 2.1313 4.6790
I 0.0000 2.1313 11.6545
I 2.1313 0.0000 1.4736
I 2.1313 0.0000 8.4491
```

Main lines, in order of falling intensity (2θ from 10° to 90°):
Position (°2θ)	d (Å)	I (rel.)
24.9	3.575	100
40.6	2.220	56
21.9	4.054	38
49.8	1.831	30
42.4	2.131	28
13.5	6.564	24
29.2	3.053	22
76.4	1.247	17

CuHgIr2: computed powder diffractogram (Cu Kα, 1.54184 Å), based on a GGA-PBE-relaxed structure.
Intensities are scaled so that the largest is 100.

Crystal structure
```
16
Lattice="6.3024 0.0000 0.0000 0.0000 6.3024 0.0000 0.0000 0.0000 6.3024" Properties=species:S:1:pos:R:3 pbc="T T T"
Cu 0.0000 0.0000 0.0000
Cu 0.0000 3.1512 3.1512
Cu 3.1512 0.0000 3.1512
Cu 3.1512 3.1512 0.0000
Hg 1.5756 1.5756 1.5756
Hg 1.5756 4.7268 4.7268
Hg 4.7268 1.5756 4.7268
Hg 4.7268 4.7268 1.5756
Ir 0.0000 0.0000 3.1512
Ir 0.0000 3.1512 0.0000
Ir 1.5756 1.5756 4.7268
Ir 1.5756 4.7268 1.5756
Ir 3.1512 0.0000 0.0000
Ir 3.1512 3.1512 3.1512
Ir 4.7268 1.5756 1.5756
Ir 4.7268 4.7268 4.7268
```

Main lines, in order of falling intensity (2θ from 10° to 90°):
Position (°2θ)	d (Å)	I (rel.)
40.5	2.228	100
73.6	1.286	35
58.6	1.576	17
87.6	1.114	11
24.5	3.639	8
28.3	3.151	5
47.9	1.900	4
66.3	1.409	2

MgCuSnHg: computed powder diffractogram (Cu Kα, 1.54184 Å), based on a GGA-PBE-relaxed structure.
Intensities are scaled so that the largest is 100.

Crystal structure
```
16
Lattice="6.8448 0.0000 0.0000 0.0000 6.8448 0.0000 0.0000 0.0000 6.8448" Properties=species:S:1:pos:R:3 pbc="T T T"
Mg 0.0000 0.0000 0.0000
Mg 0.0000 3.4224 3.4224
Mg 3.4224 0.0000 3.4224
Mg 3.4224 3.4224 0.0000
Cu 0.0000 0.0000 3.4224
Cu 0.0000 3.4224 0.0000
Cu 3.4224 0.0000 0.0000
Cu 3.4224 3.4224 3.4224
Sn 1.7112 1.7112 1.7112
Sn 1.7112 5.1336 5.1336
Sn 5.1336 1.7112 5.1336
Sn 5.1336 5.1336 1.7112
Hg 1.7112 1.7112 5.1336
Hg 1.7112 5.1336 1.7112
Hg 5.1336 1.7112 1.7112
Hg 5.1336 5.1336 5.1336
```

Main lines, in order of falling intensity (2θ from 10° to 90°):
Position (°2θ)	d (Å)	I (rel.)
37.2	2.420	100
26.0	3.422	36
67.0	1.397	36
53.6	1.711	17
60.5	1.531	15
79.2	1.210	11
45.9	1.976	11
22.5	3.952	11

Y3Mg3TlCuHg: computed powder diffractogram (Cu Kα, 1.54184 Å), based on a GGA-PBE-relaxed structure.
Intensities are scaled so that the largest is 100.

Crystal structure
```
9
Lattice="7.6930 0.0000 0.0000 -3.8465 6.6623 0.0000 0.0000 0.0000 4.2288" Properties=species:S:1:pos:R:3 pbc="T T T"
Y -2.2592 4.8858 0.0000
Y 0.7449 2.2629 0.0000
Y 1.5144 6.1759 0.0000
Mg 2.9546 0.6441 2.1144
Mg 2.9269 3.7815 2.1144
Mg 5.6579 2.2368 2.1144
Tl 0.0000 0.0000 2.1144
Cu 3.8465 2.2208 0.0000
Hg 0.0000 4.4415 2.1144
```

Main lines, in order of falling intensity (2θ from 10° to 90°):
Position (°2θ)	d (Å)	I (rel.)
31.4	2.845	100
34.3	2.617	67
23.1	3.846	58
40.6	2.221	40
13.3	6.662	38
41.7	2.164	32
60.5	1.531	25
24.9	3.570	24

RbCuHgSe5: computed powder diffractogram (Cu Kα, 1.54184 Å), based on a GGA-PBE-relaxed structure.
Intensities are scaled so that the largest is 100.

Crystal structure
```
16
Lattice="6.6886 0.0000 0.0000 0.0000 7.5231 0.0000 -2.9807 0.0000 9.0039" Properties=species:S:1:pos:R:3 pbc="T T T"
Rb 1.4170 1.8808 0.4697
Rb 2.2910 5.6423 8.5342
Cu -1.0208 1.8808 5.5680
Cu 4.7287 5.6423 3.4359
Hg 1.8540 0.0000 4.5020
Hg 1.8540 3.7616 4.5020
Se -1.6263 5.6423 5.8093
Se 0.5484 5.6423 3.0791
Se -0.2020 3.8113 6.7050
Se -0.2020 7.4734 6.7050
Se 1.8151 5.6423 1.0791
Se 1.8928 1.8808 7.9248
Se 3.9099 0.0497 2.2989
Se 3.9099 3.7119 2.2989
Se 3.1595 1.8808 5.9248
Se 5.3342 1.8808 3.1946
```

Main lines, in order of falling intensity (2θ from 10° to 90°):
Position (°2θ)	d (Å)	I (rel.)
30.8	2.901	100
27.6	3.234	74
28.6	3.118	66
47.1	1.931	43
31.3	2.856	29
48.4	1.881	26
38.4	2.346	26
34.1	2.633	25

Cu2SiHgSe2S2: computed powder diffractogram (Cu Kα, 1.54184 Å), based on a GGA-PBE-relaxed structure.
Intensities are scaled so that the largest is 100.

Crystal structure
```
16
Lattice="11.9637 0.0000 0.0000 0.0000 5.6521 0.0000 -2.5852 0.0000 5.0449" Properties=species:S:1:pos:R:3 pbc="T T T"
Cu 2.4172 0.0000 1.1232
Cu 0.9795 2.8261 3.9217
Cu 6.9614 0.0000 3.9217
Cu 8.3990 2.8261 1.1232
Si 0.0000 2.9288 0.0000
Si 5.9819 0.1027 0.0000
Hg -1.2926 5.6243 2.5224
Hg 4.6893 2.7982 2.5224
Se 0.7062 1.6280 1.7915
Se 2.6905 4.4540 3.2534
Se 6.6881 4.4540 1.7915
Se 8.6724 1.6280 3.2534
S -0.8114 4.0987 4.6004
S 4.2081 1.2726 0.4445
S 5.1704 1.2726 4.6004
S 10.1900 4.0987 0.4445
```

Main lines, in order of falling intensity (2θ from 10° to 90°):
Position (°2θ)	d (Å)	I (rel.)
28.1	3.178	100
27.7	3.221	84
45.3	2.001	40
46.9	1.938	39
17.8	4.992	29
36.6	2.455	26
17.6	5.045	24
36.3	2.475	24

Cu2SnHgSe2S2: computed powder diffractogram (Cu Kα, 1.54184 Å), based on a GGA-PBE-relaxed structure.
Intensities are scaled so that the largest is 100.

Crystal structure
```
8
Lattice="0.0000 4.0829 5.6657 4.0816 0.0000 5.6657 4.0816 4.0829 0.0000" Properties=species:S:1:pos:R:3 pbc="T T T"
Cu 2.0408 2.0414 0.0000
Cu 2.0408 2.0414 5.6657
Sn 4.0816 4.0829 2.6371
Hg 4.0816 4.0829 8.3120
Se 4.0816 2.0988 4.3138
Se 4.0816 6.0670 4.3138
S 6.2051 4.0829 6.7557
S 1.9582 4.0829 6.7557
```

Main lines, in order of falling intensity (2θ from 10° to 90°):
Position (°2θ)	d (Å)	I (rel.)
26.9	3.312	100
44.8	2.022	42
52.7	1.738	31
44.4	2.041	23
82.0	1.175	14
34.9	2.572	14
53.5	1.714	13
21.8	4.082	13

Cu2SnHgSe2S2: computed powder diffractogram (Cu Kα, 1.54184 Å), based on a GGA-PBE-relaxed structure.
Intensities are scaled so that the largest is 100.

Crystal structure
```
16
Lattice="12.6706 0.0000 0.0000 0.0000 5.7713 0.0000 -2.5960 0.0000 5.1708" Properties=species:S:1:pos:R:3 pbc="T T T"
Cu 2.5850 0.0000 1.1633
Cu 1.1543 2.8856 4.0075
Cu 7.4896 0.0000 4.0075
Cu 8.9203 2.8856 1.1633
Sn 0.0000 2.9677 0.0000
Sn 6.3353 0.0821 0.0000
Hg -1.2980 5.7135 2.5854
Hg 5.0373 2.8278 2.5854
Se 0.8212 1.5035 1.9927
Se 2.9181 4.3891 3.1781
Se 7.1565 4.3891 1.9927
Se 9.2534 1.5035 3.1781
S -0.5483 4.2934 4.6520
S 4.2876 1.4077 0.5188
S 5.7870 1.4077 4.6520
S 10.6229 4.2934 0.5188
```

Main lines, in order of falling intensity (2θ from 10° to 90°):
Position (°2θ)	d (Å)	I (rel.)
27.0	3.303	100
26.8	3.323	96
44.3	2.043	44
52.7	1.737	43
44.9	2.021	41
44.6	2.032	21
21.8	4.086	21
45.0	2.014	20